For LiMn2O3F, a cell relaxed with PBE+U gives the simulated XRD peak list in this record (Cu Kα, 1.54184 Å).
Lines closer than 0.1° are merged.

Peak list (10 most intense, 2θ = 10–90°, in order of rising 2θ)
- 12.72 deg, rel. 79
- 18.07 deg, rel. 100
- 24.25 deg, rel. 33
- 32.39 deg, rel. 28
- 34.68 deg, rel. 19
- 42.00 deg, rel. 42
- 42.29 deg, rel. 40
- 42.69 deg, rel. 38
- 61.43 deg, rel. 23
- 61.63 deg, rel. 33

Structure:
```
LiMn2O3F
1.0
6.791 -4.236 0.000
6.791 4.236 0.000
-2.635 0.000 5.416
Li Mn O F
4 8 12 4
direct
0.115 0.885 0.500
0.123 0.392 0.290
0.392 0.123 0.790
0.885 0.115 0.000
0.119 0.638 0.912
0.364 0.906 0.163
0.491 0.511 0.268
0.511 0.491 0.768
0.638 0.119 0.412
0.751 0.752 0.536
0.752 0.751 0.036
0.906 0.364 0.663
0.254 0.763 0.231
0.370 0.420 0.921
0.420 0.370 0.421
0.517 0.970 0.512
0.520 0.991 0.073
0.607 0.630 0.109
0.630 0.607 0.609
0.763 0.254 0.731
0.851 0.874 0.414
0.874 0.851 0.914
0.970 0.517 0.012
0.991 0.520 0.573
0.127 0.139 0.140
0.139 0.127 0.640
0.261 0.763 0.773
0.763 0.261 0.273
```